Diffraction record for Na6CoH8S4O20. The PXRD pattern is theoretical, not measured: it uses a DFT-relaxed cell (GGA+U, OQMD) and Cu Kα (λ = 1.5418 Å).

Principal peaks in the range 2θ = 15–90°, sorted by position:
hkl 0 1 -2, d 4.877, I = 60.8
hkl 1 -1 0, d 4.817, I = 50.4
hkl -1 1 1, d 4.231, I = 61.8
hkl 1 1 1, d 3.197, I = 45.4
hkl 1 -2 1, d 3.138, I = 50.7
hkl 0 2 0, d 3.094, I = 55.9
hkl 1 1 -3, d 3.071, I = 61.1
hkl 2 0 0, d 2.793, I = 41.6
hkl 1 0 3, d 2.776, I = 100.0
hkl -2 1 1, d 2.762, I = 41.5

Crystal structure
abc: 5.814 6.698 11.262
angles: 106.90 95.73 102.65
Space group P-1 (No. 2)
Symmetry-distinct sites (fractional):
Na (0.054, 0.232, 0.140) [2 per cell]
Na (0.412, 0.737, 0.034) [2 per cell]
Na (0.423, 0.307, 0.680) [2 per cell]
Co (0.000, 0.500, 0.500) [1 per cell]
H (0.109, 0.123, 0.413) [2 per cell]
H (0.163, 0.774, 0.386) [2 per cell]
H (0.310, 0.309, 0.409) [2 per cell]
H (0.335, 0.832, 0.521) [2 per cell]
S (0.025, 0.269, 0.837) [2 per cell]
S (0.396, 0.800, 0.740) [2 per cell]
O (0.004, 0.139, 0.701) [2 per cell]
O (0.044, 0.875, 0.086) [2 per cell]
O (0.138, 0.587, 0.153) [2 per cell]
O (0.154, 0.645, 0.685) [2 per cell]
O (0.207, 0.267, 0.469) [2 per cell]
O (0.257, 0.713, 0.441) [2 per cell]
O (0.280, 0.395, 0.883) [2 per cell]
O (0.397, 0.899, 0.875) [2 per cell]
O (0.420, 0.326, 0.280) [2 per cell]
O (0.442, 0.965, 0.675) [2 per cell]